[1]
For K2ScHgCl6, a PBE-relaxed structure gives the computed PXRD pattern in this record (Cu Ka).

Top 10 peaks for 2θ from 5° to 70°, sorted by position:
Position (°2θ), I_rel
14.22, 447
16.43, 972
23.32, 1000
27.42, 528
33.22, 881
36.29, 375
37.27, 476
40.98, 439
47.68, 574
64.65, 250

Structural model:
Cell lengths 7.629, 7.629, 7.629 Å; angles 60.00, 60.00, 60.00 degrees
Sites, in units of the cell vectors:
K1 0.250 0.250 0.250
K2 0.750 0.750 0.750
Sc1 0.000 0.000 0.000
Hg1 0.500 0.500 0.500
Cl1 0.231 0.231 0.769
Cl2 0.231 0.769 0.231
Cl3 0.231 0.769 0.769
Cl4 0.769 0.231 0.231
Cl5 0.769 0.231 0.769
Cl6 0.769 0.769 0.231

***

[2]
For HgS4N3Cl3, a PBE-relaxed structure gives the computed PXRD pattern in this record (Cu Ka).

Top 10 peaks for 2θ from 5° to 70°, sorted by position:
Position (°2θ), I_rel
10.49, 1000
17.87, 582
18.50, 357
20.00, 304
20.92, 361
21.82, 237
23.90, 216
25.02, 444
28.47, 426
35.64, 233

Structural model:
Cell lengths 6.374, 17.727, 10.016 Å; angles 90.00, 106.72, 90.00 degrees
Sites, in units of the cell vectors:
Hg1 0.211 0.072 0.444
Hg2 0.211 0.428 0.944
Hg3 0.789 0.572 0.056
Hg4 0.789 0.928 0.556
S1 0.074 0.677 0.679
S2 0.074 0.823 0.179
S3 0.299 0.547 0.598
S4 0.299 0.953 0.098
S5 0.344 0.736 0.028
S6 0.344 0.764 0.528
S7 0.500 0.170 0.035
S8 0.500 0.330 0.535
S9 0.500 0.670 0.465
S10 0.500 0.830 0.965
S11 0.656 0.236 0.472
S12 0.656 0.264 0.972
S13 0.701 0.047 0.902
S14 0.701 0.453 0.402
S15 0.926 0.177 0.821
S16 0.926 0.323 0.321
N1 0.139 0.592 0.665
N2 0.139 0.908 0.165
N3 0.180 0.739 0.610
N4 0.180 0.761 0.110
N5 0.433 0.593 0.519
N6 0.433 0.907 0.019
N7 0.567 0.093 0.981
N8 0.567 0.407 0.481
N9 0.820 0.239 0.890
N10 0.820 0.261 0.390
N11 0.861 0.092 0.835
N12 0.861 0.408 0.335
Cl1 0.116 0.124 0.211
Cl2 0.116 0.376 0.711
Cl3 0.275 0.548 0.068
Cl4 0.275 0.952 0.568
Cl5 0.338 0.177 0.628
Cl6 0.338 0.323 0.128
Cl7 0.662 0.677 0.872
Cl8 0.662 0.823 0.372
Cl9 0.725 0.048 0.432
Cl10 0.725 0.452 0.932
Cl11 0.884 0.624 0.289
Cl12 0.884 0.876 0.789

***

[3]
For NaHgCl3, a PBE-relaxed structure gives the computed PXRD pattern in this record (Cu Ka).

Top 10 peaks for 2θ from 5° to 70°, sorted by position:
Position (°2θ), I_rel
9.70, 372
12.78, 1000
15.31, 636
19.47, 441
21.73, 400
24.80, 389
26.22, 758
27.98, 488
32.03, 525
37.75, 456

Structural model:
Cell lengths 7.491, 4.198, 18.241 Å; angles 90.00, 90.00, 90.00 degrees
Sites, in units of the cell vectors:
Na1 0.096 0.250 0.125
Na2 0.404 0.750 0.625
Na3 0.596 0.250 0.375
Na4 0.904 0.750 0.875
Hg1 0.112 0.250 0.405
Hg2 0.388 0.750 0.905
Hg3 0.612 0.250 0.095
Hg4 0.888 0.750 0.595
Cl1 0.081 0.750 0.699
Cl2 0.149 0.250 0.868
Cl3 0.211 0.250 0.532
Cl4 0.289 0.750 0.032
Cl5 0.351 0.750 0.368
Cl6 0.419 0.250 0.199
Cl7 0.581 0.750 0.801
Cl8 0.649 0.250 0.632
Cl9 0.711 0.250 0.968
Cl10 0.789 0.750 0.468
Cl11 0.851 0.750 0.132
Cl12 0.919 0.250 0.301

***

[4]
For Hg2ClO, a PBE-relaxed structure gives the computed PXRD pattern in this record (Cu Ka).

Top 10 peaks for 2θ from 5° to 70°, sorted by position:
Position (°2θ), I_rel
14.63, 433
20.19, 569
24.68, 479
25.12, 1000
29.27, 211
29.55, 391
32.31, 197
33.91, 418
34.37, 400
43.18, 215

Structural model:
Cell lengths 7.091, 7.247, 9.825 Å; angles 74.37, 89.13, 61.09 degrees
Sites, in units of the cell vectors:
Hg1 0.000 0.000 0.000
Hg2 0.198 0.592 0.611
Hg3 0.283 0.409 0.888
Hg4 0.290 0.500 0.248
Hg5 0.500 0.000 0.500
Hg6 0.710 0.500 0.752
Hg7 0.717 0.591 0.112
Hg8 0.802 0.408 0.389
Cl1 0.000 0.140 0.626
Cl2 0.000 0.860 0.374
Cl3 0.363 0.138 0.127
Cl4 0.637 0.862 0.873
O1 0.208 0.671 0.037
O2 0.394 0.328 0.462
O3 0.606 0.672 0.538
O4 0.792 0.329 0.963

***

[5]
For Hg2ClO, a PBE-relaxed structure gives the computed PXRD pattern in this record (Cu Ka).

Top 10 peaks for 2θ from 5° to 70°, sorted by position:
Position (°2θ), I_rel
14.80, 410
20.44, 517
24.03, 1000
24.67, 476
29.39, 245
29.86, 247
31.75, 338
33.21, 332
34.09, 789
49.09, 295

Structural model:
Cell lengths 7.273, 7.273, 9.746 Å; angles 104.60, 104.60, 61.21 degrees
Sites, in units of the cell vectors:
Hg1 0.000 0.500 0.500
Hg2 0.197 0.803 0.750
Hg3 0.215 0.694 0.110
Hg4 0.306 0.785 0.390
Hg5 0.500 0.000 0.000
Hg6 0.694 0.215 0.610
Hg7 0.785 0.306 0.890
Hg8 0.803 0.197 0.250
Cl1 0.151 0.490 0.874
Cl2 0.490 0.151 0.374
Cl3 0.510 0.849 0.626
Cl4 0.849 0.510 0.126
O1 0.101 0.728 0.535
O2 0.272 0.899 0.965
O3 0.728 0.101 0.035
O4 0.899 0.272 0.465

***

[6]
For Hg5Cl4O4, a PBE-relaxed structure gives the computed PXRD pattern in this record (Cu Ka).

Top 10 peaks for 2θ from 5° to 70°, sorted by position:
Position (°2θ), I_rel
15.28, 173
18.97, 1000
27.29, 344
28.66, 381
29.91, 351
30.84, 197
32.89, 217
33.98, 298
35.10, 272
35.66, 270

Structural model:
Cell lengths 6.191, 6.916, 7.915 Å; angles 89.46, 89.89, 69.49 degrees
Sites, in units of the cell vectors:
Hg1 0.000 0.000 0.000
Hg2 0.218 0.695 0.338
Hg3 0.244 0.191 0.329
Hg4 0.756 0.809 0.671
Hg5 0.782 0.305 0.662
Cl1 0.220 0.465 0.006
Cl2 0.262 0.937 0.643
Cl3 0.738 0.063 0.357
Cl4 0.780 0.535 0.994
O1 0.198 0.450 0.478
O2 0.258 0.930 0.181
O3 0.742 0.070 0.819
O4 0.802 0.550 0.522